Record 1
Structure and calculated powder diffractogram of ZrAlCu2 (DFT lattice parameters and positions (PBE); Cu Kα X-rays).
No peak broadening, texture or thermal motion is included.

Most intense lines, 2θ = 15–90°, low angle first:
2θ 32.31, intensity 31
2θ 40.31, intensity 100
2θ 41.20, intensity 10
2θ 41.82, intensity 51
2θ 55.95, intensity 6
2θ 60.15, intensity 12
2θ 60.62, intensity 16
2θ 70.38, intensity 6
2θ 72.23, intensity 11
2θ 75.33, intensity 29
2θ 79.34, intensity 8
2θ 87.11, intensity 7

```
ZrAlCu2
1.0
3.0550 0.0000 0.0000
0.0000 3.0550 0.0000
0.0000 0.0000 6.5734
Zr Al Cu
1 1 2
direct
0.0000 0.0000 0.0000 Zr
0.0000 0.0000 0.5000 Al
0.5000 0.5000 0.2886 Cu
0.5000 0.5000 0.7114 Cu
```

Record 2
Structure and calculated powder diffractogram of NbCr3Cu2S8 (DFT lattice parameters and positions (PBE); Cu Kα X-rays).
No peak broadening, texture or thermal motion is included.

Most intense lines, 2θ = 15–90°, low angle first:
2θ 20.33, intensity 40
2θ 24.84, intensity 100
2θ 25.50, intensity 20
2θ 26.31, intensity 38
2θ 29.02, intensity 33
2θ 31.64, intensity 42
2θ 33.00, intensity 34
2θ 35.36, intensity 30
2θ 36.50, intensity 44
2θ 47.15, intensity 23
2θ 48.84, intensity 19
2θ 50.94, intensity 41

```
NbCr3Cu2S8
1.0
7.1689 0.0000 0.0000
0.0000 6.3682 0.0000
0.0000 0.0000 12.0012
Nb Cr Cu S
2 6 4 16
direct
0.0000 0.2135 0.0000 Nb
0.5000 0.7865 0.5000 Nb
0.0000 0.3505 0.2760 Cr
0.0000 0.7558 0.0980 Cr
0.0000 0.8364 0.8051 Cr
0.5000 0.1636 0.3051 Cr
0.5000 0.2442 0.5980 Cr
0.5000 0.6495 0.7760 Cr
0.0000 0.4740 0.6840 Cu
0.0000 0.8897 0.4348 Cu
0.5000 0.1103 0.9348 Cu
0.5000 0.5260 0.1840 Cu
0.0000 0.0100 0.2609 S
0.0000 0.1876 0.7992 S
0.0000 0.5342 0.4228 S
0.0000 0.5765 0.9304 S
0.2054 0.4569 0.1488 S
0.2473 0.9822 0.0350 S
0.2527 0.0178 0.5350 S
0.2946 0.5431 0.6488 S
0.5000 0.4235 0.4304 S
0.5000 0.4658 0.9228 S
0.5000 0.8124 0.2992 S
0.5000 0.9900 0.7609 S
0.7054 0.5431 0.6488 S
0.7473 0.0178 0.5350 S
0.7527 0.9822 0.0350 S
0.7946 0.4569 0.1488 S
```

Record 3
Structure and calculated powder diffractogram of MgAl4Cu2O8 (DFT lattice parameters and positions (PBE); Cu Kα X-rays).
No peak broadening, texture or thermal motion is included.

Most intense lines, 2θ = 15–90°, low angle first:
2θ 17.12, intensity 59
2θ 20.52, intensity 29
2θ 34.64, intensity 32
2θ 35.66, intensity 43
2θ 36.46, intensity 50
2θ 37.23, intensity 72
2θ 41.75, intensity 56
2θ 44.06, intensity 100
2θ 46.73, intensity 43
2θ 60.19, intensity 29
2θ 64.39, intensity 46
2θ 66.77, intensity 23

```
MgAl4Cu2O8
1.0
5.0733 -2.8021 0.0000
5.0733 2.8021 0.0000
-3.1691 0.0000 5.1792
Mg Al Cu O
1 4 2 8
direct
0.0000 0.0000 0.0000 Mg
0.1693 0.1693 0.4775 Al
0.5000 0.5000 0.0000 Al
0.5000 0.5000 0.5000 Al
0.8307 0.8307 0.5225 Al
0.0000 0.5000 0.0000 Cu
0.5000 0.0000 0.0000 Cu
0.2222 0.7311 0.7253 O
0.2689 0.7778 0.2747 O
0.2801 0.2801 0.3285 O
0.2884 0.2884 0.8168 O
0.7116 0.7116 0.1832 O
0.7199 0.7199 0.6715 O
0.7311 0.2222 0.7253 O
0.7778 0.2689 0.2747 O
```

Record 4
Structure and calculated powder diffractogram of YSi2Os2 (DFT lattice parameters and positions (PBE); Cu Kα X-rays).
No peak broadening, texture or thermal motion is included.

Most intense lines, 2θ = 15–90°, low angle first:
2θ 18.39, intensity 48
2θ 30.15, intensity 18
2θ 35.54, intensity 100
2θ 37.27, intensity 17
2θ 43.16, intensity 37
2θ 47.28, intensity 18
2θ 48.66, intensity 23
2θ 58.31, intensity 19
2θ 62.68, intensity 12
2θ 66.09, intensity 17
2θ 74.17, intensity 24
2θ 83.13, intensity 10

```
YSi2Os2
1.0
-2.0962 2.0962 4.8254
2.0962 -2.0962 4.8254
2.0962 2.0962 -4.8254
Y Si Os
1 2 2
direct
0.0000 0.0000 0.0000 Y
0.3709 0.3709 0.0000 Si
0.6291 0.6291 0.0000 Si
0.2500 0.7500 0.5000 Os
0.7500 0.2500 0.5000 Os
```

Record 5
Structure and calculated powder diffractogram of Te8Pd5Se2 (DFT lattice parameters and positions (PBE); Cu Kα X-rays).
No peak broadening, texture or thermal motion is included.

Most intense lines, 2θ = 15–90°, low angle first:
2θ 17.30, intensity 10
2θ 30.80, intensity 100
2θ 43.68, intensity 36
2θ 44.56, intensity 38
2θ 55.15, intensity 19
2θ 57.89, intensity 4
2θ 60.20, intensity 11
2θ 64.16, intensity 9
2θ 73.48, intensity 10
2θ 73.54, intensity 5
2θ 81.52, intensity 7
2θ 82.12, intensity 4

```
Te8Pd5Se2
1.0
17.6202 -2.0322 0.0000
17.6202 2.0322 0.0000
-0.0074 0.0000 5.1255
Te Pd Se
8 5 2
direct
0.0000 0.0000 0.0000 Te
0.1968 0.1968 0.9956 Te
0.3301 0.3301 0.5374 Te
0.3980 0.3980 0.9984 Te
0.5334 0.5334 0.5343 Te
0.5999 0.5999 0.9921 Te
0.7961 0.7961 0.0062 Te
0.9315 0.9315 0.5326 Te
0.0676 0.0676 0.2656 Pd
0.2623 0.2623 0.2730 Pd
0.4656 0.4656 0.2658 Pd
0.6653 0.6653 0.2717 Pd
0.8639 0.8639 0.2663 Pd
0.1330 0.1330 0.5140 Se
0.7304 0.7304 0.5161 Se
```

What did the second record say?
Structure and calculated powder diffractogram of NbCr3Cu2S8 (DFT lattice parameters and positions (PBE); Cu Kα X-rays).
No peak broadening, texture or thermal motion is included.

Most intense lines, 2θ = 15–90°, low angle first:
2θ 20.33, intensity 40
2θ 24.84, intensity 100
2θ 25.50, intensity 20
2θ 26.31, intensity 38
2θ 29.02, intensity 33
2θ 31.64, intensity 42
2θ 33.00, intensity 34
2θ 35.36, intensity 30
2θ 36.50, intensity 44
2θ 47.15, intensity 23
2θ 48.84, intensity 19
2θ 50.94, intensity 41

```
NbCr3Cu2S8
1.0
7.1689 0.0000 0.0000
0.0000 6.3682 0.0000
0.0000 0.0000 12.0012
Nb Cr Cu S
2 6 4 16
direct
0.0000 0.2135 0.0000 Nb
0.5000 0.7865 0.5000 Nb
0.0000 0.3505 0.2760 Cr
0.0000 0.7558 0.0980 Cr
0.0000 0.8364 0.8051 Cr
0.5000 0.1636 0.3051 Cr
0.5000 0.2442 0.5980 Cr
0.5000 0.6495 0.7760 Cr
0.0000 0.4740 0.6840 Cu
0.0000 0.8897 0.4348 Cu
0.5000 0.1103 0.9348 Cu
0.5000 0.5260 0.1840 Cu
0.0000 0.0100 0.2609 S
0.0000 0.1876 0.7992 S
0.0000 0.5342 0.4228 S
0.0000 0.5765 0.9304 S
0.2054 0.4569 0.1488 S
0.2473 0.9822 0.0350 S
0.2527 0.0178 0.5350 S
0.2946 0.5431 0.6488 S
0.5000 0.4235 0.4304 S
0.5000 0.4658 0.9228 S
0.5000 0.8124 0.2992 S
0.5000 0.9900 0.7609 S
0.7054 0.5431 0.6488 S
0.7473 0.0178 0.5350 S
0.7527 0.9822 0.0350 S
0.7946 0.4569 0.1488 S
```